For ZnH8C2N4Cl2O2, a cell relaxed with GGA-PBE gives the simulated PXRD pattern in this record (Cu Ka).
Peak positions follow from Bragg's law for the DFT cell and can differ from measured ones.

Peak list (8 most intense, 10° ≤ 2θ ≤ 80°, in order of rising 2θ)
2θ 15.3, intensity 100, hkl 0 0 2
2θ 16.4, intensity 36, hkl 0 1 1
2θ 16.7, intensity 74, hkl 1 1 1
2θ 18.9, intensity 45, hkl 1 0 2
2θ 19.1, intensity 40, hkl 1 1 -1
2θ 24.2, intensity 50, hkl 1 1 -2
2θ 24.4, intensity 47, hkl 1 0 3
2θ 24.9, intensity 44, hkl 1 -1 0

a = 6.395 Å, b = 6.960 Å, c = 11.977 Å
α = 88.61°, β = 76.08°, γ = 66.50°
Fractional coordinates of all 38 atoms:
Zn 0.023 0.163 0.251
Zn 0.977 0.837 0.749
H 0.167 0.377 0.719
H 0.189 0.447 0.928
H 0.232 0.746 0.423
H 0.265 0.484 0.407
H 0.333 0.847 0.952
H 0.432 0.181 0.643
H 0.489 0.170 0.186
H 0.499 0.327 0.905
H 0.501 0.673 0.095
H 0.511 0.830 0.814
H 0.568 0.819 0.357
H 0.667 0.153 0.048
H 0.735 0.516 0.593
H 0.768 0.254 0.577
H 0.811 0.553 0.072
H 0.833 0.623 0.281
C 0.309 0.304 0.065
C 0.434 0.475 0.657
C 0.566 0.525 0.343
C 0.691 0.696 0.935
N 0.332 0.336 0.667
N 0.335 0.370 0.959
N 0.336 0.592 0.396
N 0.497 0.813 0.900
N 0.503 0.187 0.100
N 0.664 0.408 0.604
N 0.665 0.630 0.041
N 0.668 0.664 0.333
Cl 0.076 0.865 0.159
Cl 0.207 0.140 0.393
Cl 0.793 0.860 0.607
Cl 0.924 0.135 0.841
O 0.101 0.354 0.131
O 0.320 0.668 0.694
O 0.680 0.332 0.306
O 0.899 0.646 0.869